Diffraction record for Bi2PbAu9. The X-ray diffraction stick pattern is computed, not measured: it uses a PBE-relaxed structure and copper Kα.
Lines closer than 0.1° are merged.

Top 10 peaks for 10 to 80 degrees two-theta, in order of falling intensity:
d_spacing	I (rel.)	index
2.430	100	1 1 6
2.261	35	2 0 5
2.468	30	0 2 1
1.431	27	2 2 0
1.555	26	0 3 6
2.861	25	1 1 0
2.302	24	0 0 12
1.215	20	2 2 12
2.240	16	0 1 11
2.833	16	0 1 8

Structure:
```
data_Bi2PbAu9
_symmetry_space_group_name_H-M 'R -3 m'
_symmetry_Int_Tables_number 166
_symmetry_space_group_name_Hall '-R 3 2"'
_cell_length_a 5.7222
_cell_length_b 5.7222
_cell_length_c 27.6248
_cell_angle_alpha 90.00
_cell_angle_beta 90.00
_cell_angle_gamma 120.00
loop_
_atom_site_label
_atom_site_fract_x
_atom_site_fract_y
_atom_site_fract_z
Bi1 0.0000 0.0000 0.1425
Pb1 0.0000 0.0000 0.0000
Au1 0.0000 0.0000 0.3333
Au2 0.0000 0.0000 0.5000
Au3 0.0038 0.5019 0.9154
```